[1]
# HoErNiAu
Calculated XRD peak list, CuKα. Input: DFT lattice parameters and positions (GGA-PBE).
No peak broadening, texture or thermal motion is included.

Most intense lines, 2θ from 5° to 70°, in order of falling intensity:
- (1 1 1), 32.4°, I = 100
- (1 1 3), 40.8°, I = 60
- (2 0 0), 40.2°, I = 31
- (0 1 3), 35.3°, I = 28
- (0 0 4), 34.4°, I = 25
- (1 0 4), 40.0°, I = 24

Structural model:
a = 4.488 Å, b = 3.719 Å, c = 10.438 Å
α = 90.00°, β = 90.00°, γ = 90.00°
Space group Amm2 (No. 38)
Symmetry-distinct sites (fractional):
Ho 0.000 0.000 0.000
Er 0.500 0.000 0.280
Ni 0.500 0.000 0.556
Au 0.000 0.000 0.718

---

[2]
# ErIn3Au2
Calculated XRD peak list, CuKα. Input: DFT lattice parameters and positions (GGA-PBE).
No peak broadening, texture or thermal motion is included.

Most intense lines, 2θ from 5° to 70°, in order of falling intensity:
- (1 1 2), 33.3°, I = 100
- (1 3 1), 39.8°, I = 48
- (1 2 1), 31.7°, I = 44
- (2 0 0), 41.0°, I = 41
- (0 2 3), 42.4°, I = 31
- (1 3 0), 37.8°, I = 22

Structural model:
a = 4.398 Å, b = 8.485 Å, c = 7.407 Å
α = 90.00°, β = 90.00°, γ = 90.00°
Space group Pmc2_1 (No. 26)
Symmetry-distinct sites (fractional):
Er 0.000 0.076 0.000
In 0.000 0.308 0.618
In 0.500 0.199 0.333
In 0.500 0.406 0.939
Au 0.000 0.380 0.219
Au 0.500 0.111 0.716

---

[3]
# Er4InAu3
Calculated XRD peak list, CuKα. Input: DFT lattice parameters and positions (GGA-PBE).
No peak broadening, texture or thermal motion is included.

Most intense lines, 2θ from 5° to 70°, in order of falling intensity:
- (1 1 2), 35.2°, I = 100
- (0 2 0), 35.0°, I = 50
- (1 3 2), 63.0°, I = 36
- (2 2 0), 63.2°, I = 18
- (0 2 4), 50.4°, I = 18
- (2 0 0), 50.8°, I = 9

Structural model:
a = 3.593 Å, b = 5.122 Å, c = 10.241 Å
α = 90.00°, β = 90.00°, γ = 90.00°
Space group Pmmm (No. 47)
Symmetry-distinct sites (fractional):
Er 0.000 0.000 0.000
Er 0.000 0.000 0.500
Er 0.000 0.500 0.238
In 0.500 0.500 0.500
Au 0.500 0.000 0.257
Au 0.500 0.500 0.000

---

[4]
# YErInAu
Calculated XRD peak list, CuKα. Input: DFT lattice parameters and positions (GGA-PBE).
No peak broadening, texture or thermal motion is included.

Most intense lines, 2θ from 5° to 70°, in order of falling intensity:
- (1 0 2), 34.2°, I = 100
- (1 1 0), 35.3°, I = 48
- (2 1 2), 62.6°, I = 35
- (0 0 1), 11.6°, I = 19
- (1 1 4), 60.5°, I = 18
- (2 0 0), 50.7°, I = 17

Structural model:
a = 3.600 Å, b = 3.600 Å, c = 7.651 Å
α = 90.00°, β = 90.00°, γ = 90.00°
Space group P4mm (No. 99)
Symmetry-distinct sites (fractional):
Y 0.000 0.000 0.000
Er 0.000 0.000 0.463
In 0.500 0.500 0.730
Au 0.500 0.500 0.244

---

[5]
# Er8Ir3Au2
Calculated XRD peak list, CuKα. Input: DFT lattice parameters and positions (GGA-PBE).
No peak broadening, texture or thermal motion is included.

Most intense lines, 2θ from 5° to 70°, in order of falling intensity:
- (2 0 2), 36.9°, I = 100
- (0 2 0), 37.2°, I = 20
- (5 1 1), 66.5°, I = 14
- (3 3 -1), 66.9°, I = 14
- (2 2 2), 53.5°, I = 14
- (2 0 0), 22.3°, I = 9

Structural model:
a = 8.473 Å, b = 4.828 Å, c = 8.486 Å
α = 90.00°, β = 109.92°, γ = 90.00°
Space group P2/m (No. 10)
Symmetry-distinct sites (fractional):
Er 0.117 0.000 0.383
Er 0.134 0.500 0.871
Er 0.371 0.500 0.634
Er 0.380 0.000 0.120
Ir 0.248 0.000 0.748
Ir 0.500 0.500 0.000
Au 0.244 0.500 0.256